The following is a simulated powder XRD pattern of Ca3Cd5. It was derived from a crystal structure in Alexandria, relaxed with GGA-PBE, using λ = 1.5418 Å (Cu Kα).
Peak positions follow from Bragg's law for the DFT cell and can differ from measured ones.

Cell and atoms:
```
data_Ca3Cd5
_cell_length_a 6.065
_cell_length_b 16.958
_cell_length_c 17.133
_cell_angle_alpha 90.00
_cell_angle_beta 90.00
_cell_angle_gamma 90.00
_symmetry_space_group_name_H-M 'F m m 2'
_symmetry_Int_Tables_number 42
_symmetry_space_group_name_Hall 'F 2 -2'
loop_
_atom_site_label
_atom_site_type_symbol
_atom_site_fract_x
_atom_site_fract_y
_atom_site_fract_z
Ca1 Ca 0.000 0.000 0.000
Ca2 Ca 0.000 0.000 0.351
Ca3 Ca 0.000 0.175 0.676
Ca4 Ca 0.250 0.250 0.425
Cd1 Cd 0.000 0.091 0.837
Cd2 Cd 0.000 0.092 0.514
Cd3 Cd 0.000 0.161 0.266
Cd4 Cd 0.000 0.162 0.084
Cd5 Cd 0.250 0.000 0.176
```

Principal peaks in the range 10 to 80 degrees two-theta, low angle first:
| d_spacing | two_theta | Rel. int. |
| --- | --- | --- |
| 3.013 | 29.65 | 44 |
| 2.708 | 33.08 | 100 |
| 2.638 | 33.98 | 57 |
| 2.628 | 34.12 | 56 |
| 2.475 | 36.30 | 44 |
| 2.466 | 36.43 | 44 |

***

The following is a simulated powder XRD pattern of Sm5Ge2Pt12. It was derived from a crystal structure in Alexandria, relaxed with GGA-PBE, using λ = 1.5418 Å (Cu Kα).
Peak positions follow from Bragg's law for the DFT cell and can differ from measured ones.

Cell and atoms:
```
data_Sm5Ge2Pt12
_cell_length_a 15.752
_cell_length_b 7.180
_cell_length_c 6.654
_cell_angle_alpha 90.00
_cell_angle_beta 96.22
_cell_angle_gamma 90.00
_symmetry_space_group_name_H-M 'C 1 2/m 1'
_symmetry_Int_Tables_number 12
loop_
_symmetry_equiv_pos_as_xyz
'x,y,z'
'-x,-y,-z'
'-x,y,-z'
'x,-y,z'
'x+1/2,y+1/2,z'
'-x+1/2,-y+1/2,-z'
'-x+1/2,y+1/2,-z'
'x+1/2,-y+1/2,z'
loop_
_atom_site_label
_atom_site_type_symbol
_atom_site_fract_x
_atom_site_fract_y
_atom_site_fract_z
Sm1 Sm 0.000 0.000 0.000
Sm2 Sm 0.190 0.500 0.559
Sm3 Sm 0.239 0.000 0.916
Ge1 Ge 0.000 0.280 0.500
Pt1 Pt 0.057 0.500 0.212
Pt2 Pt 0.099 0.304 0.849
Pt3 Pt 0.104 0.000 0.573
Pt4 Pt 0.153 0.187 0.240
```

Principal peaks in the range 10 to 80 degrees two-theta, low angle first:
| d_spacing | two_theta | Rel. int. |
| --- | --- | --- |
| 2.722 | 32.90 | 44 |
| 2.543 | 35.30 | 71 |
| 2.521 | 35.61 | 100 |
| 2.272 | 39.67 | 38 |
| 2.185 | 41.32 | 27 |
| 1.909 | 47.62 | 25 |